1.
For V2CdO10, a crystal structure in the Materials Project, relaxed with PBE+U gives the computed powder X-ray diffraction pattern in this record (Cu Kα (weighted mean of Kα1 and Kα2)).
Peak positions follow from Bragg's law for the DFT cell and can differ from measured ones.

Most intense lines, 10 to 80 degrees two-theta, low angle first:
hkl, d [Å], intensity
1 1 0, 7.922, 100
1 1 -1, 5.754, 58
1 1 1, 4.454, 64
3 1 -1, 4.009, 63
2 2 0, 3.961, 60
4 0 -2, 2.874, 45

Atomic structure:
```
data_V2CdO10
_chemical_formula_sum 'V8 Cd4 O40'
_space_group_name_H-M_alt 'C 1 c 1'
_space_group_IT_number 9
_cell_length_a 13.4941
_cell_length_b 10.3162
_cell_length_c 6.9893
_cell_angle_alpha 90.00
_cell_angle_beta 113.59
_cell_angle_gamma 90.00
loop_
_space_group_symop_operation_xyz
'x,y,z'
'x,-y,z+1/2'
'x+1/2,y+1/2,z'
'x+1/2,-y+1/2,z+1/2'
loop_
_atom_site_label
_atom_site_type_symbol
_atom_site_fract_x
_atom_site_fract_y
_atom_site_fract_z
V1 V 0.0000 0.0311 0.0000
V2 V 0.2118 0.0332 0.9020
Cd1 Cd 0.3553 0.2481 0.6959
O1 O 0.0142 0.3753 0.5455
O2 O 0.0150 0.3840 0.7220
O3 O 0.0474 0.0384 0.7748
O4 O 0.1657 0.0442 0.1304
O5 O 0.1751 0.3841 0.1559
O6 O 0.1837 0.3640 0.3357
O7 O 0.2583 0.1796 0.8736
O8 O 0.3199 0.0644 0.5290
O9 O 0.3968 0.4261 0.8785
O10 O 0.4456 0.3243 0.5120
```

---

2.
For Na3Ni2O5, a crystal structure in the Materials Project, relaxed with PBE+U gives the computed powder X-ray diffraction pattern in this record (Cu Kα (weighted mean of Kα1 and Kα2)).
Peak positions follow from Bragg's law for the DFT cell and can differ from measured ones.

Most intense lines, 10 to 80 degrees two-theta, low angle first:
hkl, d [Å], intensity
0 1 -1, 5.255, 92
-1 2 1, 2.450, 33
2 -2 1, 2.214, 57
1 2 0, 2.143, 100
1 -4 1, 1.571, 29
-3 2 2, 1.510, 28

Atomic structure:
```
data_Na3Ni2O5
_chemical_formula_sum 'Na6 Ni4 O10'
_space_group_name_H-M_alt 'P -1'
_space_group_IT_number 2
_cell_length_a 5.2797
_cell_length_b 6.3053
_cell_length_c 6.9054
_cell_angle_alpha 107.61
_cell_angle_beta 96.48
_cell_angle_gamma 107.24
loop_
_space_group_symop_operation_xyz
'x,y,z'
'-x,-y,-z'
loop_
_atom_site_label
_atom_site_type_symbol
_atom_site_fract_x
_atom_site_fract_y
_atom_site_fract_z
Na1 Na 0.0000 0.0000 0.0000
Na2 Na 0.0000 0.5000 0.0000
Na3 Na 0.2053 0.4029 0.3887
Na4 Na 0.3801 0.7885 0.7985
Ni1 Ni 0.2024 0.9052 0.4056
Ni2 Ni 0.3976 0.2952 0.7961
O1 O 0.1019 0.3901 0.6942
O2 O 0.1229 0.9845 0.6823
O3 O 0.3300 0.8442 0.1488
O4 O 0.3491 0.3789 0.0798
O5 O 0.4761 0.2195 0.5245
```

---

3.
For Li5MnP2O8F2, a crystal structure in the Materials Project, relaxed with PBE+U gives the computed powder X-ray diffraction pattern in this record (Cu Kα (weighted mean of Kα1 and Kα2)).
Peak positions follow from Bragg's law for the DFT cell and can differ from measured ones.

Most intense lines, 10 to 80 degrees two-theta, low angle first:
hkl, d [Å], intensity
1 0 0, 8.655, 36
0 0 1, 6.567, 22
2 0 1, 3.614, 100
2 0 2, 2.616, 25
2 2 1, 2.335, 22
4 0 2, 1.807, 21

Atomic structure:
```
data_Li5MnP2O8F2
_chemical_formula_sum 'Li15 Mn3 P6 O24 F6'
_space_group_name_H-M_alt 'P 3'
_space_group_IT_number 143
_cell_length_a 9.9941
_cell_length_b 9.9941
_cell_length_c 6.5672
_cell_angle_alpha 90.00
_cell_angle_beta 90.00
_cell_angle_gamma 120.00
loop_
_space_group_symop_operation_xyz
'x,y,z'
'-y,x-y,z'
'-x+y,-x,z'
loop_
_atom_site_label
_atom_site_type_symbol
_atom_site_fract_x
_atom_site_fract_y
_atom_site_fract_z
Li1 Li 0.0000 0.0000 0.0000
Li2 Li 0.0000 0.0000 0.3834
Li3 Li 0.0168 0.5350 0.6693
Li4 Li 0.1661 0.3324 0.4362
Li5 Li 0.3203 0.1357 0.2080
Li6 Li 0.3333 0.6667 0.4946
Li7 Li 0.3333 0.6667 0.8792
Li8 Li 0.6667 0.3333 0.4245
Li9 Li 0.6667 0.3333 0.9183
Mn1 Mn 0.1663 0.3330 0.9382
P1 P 0.0350 0.5250 0.1946
P2 P 0.2983 0.1426 0.6840
O1 O 0.0166 0.7393 0.7065
O2 O 0.0707 0.3891 0.1697
O3 O 0.1128 0.6148 0.3886
O4 O 0.1185 0.6283 0.0025
O5 O 0.2140 0.0389 0.8754
O6 O 0.2235 0.0534 0.4891
O7 O 0.4734 0.2069 0.6922
O8 O 0.5373 0.3978 0.1902
F1 F 0.0260 0.8466 0.1754
F2 F 0.1801 0.4883 0.7041
```

---

4.
For Na5Ni9O18, a crystal structure in the Materials Project, relaxed with PBE+U gives the computed powder X-ray diffraction pattern in this record (Cu Kα (weighted mean of Kα1 and Kα2)).
Peak positions follow from Bragg's law for the DFT cell and can differ from measured ones.

Most intense lines, 10 to 80 degrees two-theta, low angle first:
hkl, d [Å], intensity
1 0 0, 5.465, 100
2 0 0, 2.733, 13
-1 1 3, 2.460, 7
1 2 -3, 2.366, 11
-2 1 3, 2.139, 20
1 -2 3, 2.100, 39

Atomic structure:
```
data_Na5Ni9O18
_chemical_formula_sum 'Na5 Ni9 O18'
_space_group_name_H-M_alt 'P -1'
_space_group_IT_number 2
_cell_length_a 5.7379
_cell_length_b 7.4788
_cell_length_c 8.5925
_cell_angle_alpha 100.53
_cell_angle_beta 105.51
_cell_angle_gamma 95.44
loop_
_space_group_symop_operation_xyz
'x,y,z'
'-x,-y,-z'
loop_
_atom_site_label
_atom_site_type_symbol
_atom_site_fract_x
_atom_site_fract_y
_atom_site_fract_z
Na1 Na 0.0000 0.0000 0.0000
Na2 Na 0.0035 0.7049 0.4828
Na3 Na 0.0044 0.3399 0.8742
Ni1 Ni 0.4936 0.5006 0.1664
Ni2 Ni 0.4944 0.8343 0.3920
Ni3 Ni 0.4977 0.8324 0.0591
Ni4 Ni 0.4986 0.1674 0.2743
Ni5 Ni 0.5000 0.5000 0.5000
O1 O 0.3042 0.6003 0.3350
O2 O 0.3102 0.5970 0.9956
O3 O 0.3129 0.2595 0.0740
O4 O 0.3160 0.9149 0.2046
O5 O 0.3180 0.9339 0.5298
O6 O 0.3219 0.5764 0.6479
O7 O 0.3216 0.9282 0.8840
O8 O 0.3270 0.2556 0.7556
O9 O 0.3278 0.2615 0.4355
```

---

5.
For RbV3Cd4O12, a crystal structure in the Materials Project, relaxed with PBE+U gives the computed powder X-ray diffraction pattern in this record (Cu Kα (weighted mean of Kα1 and Kα2)).
Peak positions follow from Bragg's law for the DFT cell and can differ from measured ones.

Most intense lines, 10 to 80 degrees two-theta, low angle first:
hkl, d [Å], intensity
3 1 -2, 3.215, 44
4 0 0, 3.013, 71
2 4 0, 2.988, 100
1 3 -2, 2.807, 60
1 1 2, 2.797, 33
3 3 2, 1.930, 33

Atomic structure:
```
data_RbV3Cd4O12
_chemical_formula_sum 'Rb4 V12 Cd16 O48'
_space_group_name_H-M_alt 'C 1 c 1'
_space_group_IT_number 9
_cell_length_a 13.2977
_cell_length_b 13.7617
_cell_length_c 7.1967
_cell_angle_alpha 90.00
_cell_angle_beta 115.03
_cell_angle_gamma 90.00
loop_
_space_group_symop_operation_xyz
'x,y,z'
'x,-y,z+1/2'
'x+1/2,y+1/2,z'
'x+1/2,-y+1/2,z+1/2'
loop_
_atom_site_label
_atom_site_type_symbol
_atom_site_fract_x
_atom_site_fract_y
_atom_site_fract_z
Rb1 Rb 0.0000 0.0266 0.0000
V1 V 0.2397 0.1108 0.8904
V2 V 0.2603 0.3890 0.6104
V3 V 0.4993 0.2035 0.4992
Cd1 Cd 0.0182 0.4950 0.7195
Cd2 Cd 0.2230 0.1597 0.3997
Cd3 Cd 0.2762 0.3383 0.1003
Cd4 Cd 0.4990 0.2358 0.9980
O1 O 0.0449 0.2244 0.2195
O2 O 0.0946 0.3808 0.9768
O3 O 0.1137 0.4043 0.5409
O4 O 0.1613 0.1677 0.6517
O5 O 0.1805 0.0010 0.3817
O6 O 0.2183 0.1783 0.0746
O7 O 0.2800 0.3222 0.4249
O8 O 0.3179 0.4990 0.1171
O9 O 0.3378 0.3330 0.8477
O10 O 0.3844 0.0995 0.9604
O11 O 0.4058 0.1212 0.5240
O12 O 0.4534 0.2760 0.2799
```

---

6.
For LiV4O5F7, a crystal structure in the Materials Project, relaxed with PBE+U gives the computed powder X-ray diffraction pattern in this record (Cu Kα (weighted mean of Kα1 and Kα2)).
Peak positions follow from Bragg's law for the DFT cell and can differ from measured ones.

Most intense lines, 10 to 80 degrees two-theta, low angle first:
hkl, d [Å], intensity
1 -1 0, 3.807, 96
1 1 0, 3.762, 95
0 0 2, 3.620, 100
1 1 -2, 2.678, 31
2 1 -1, 2.266, 22
2 -2 0, 1.903, 22

Atomic structure:
```
data_LiV4O5F7
_chemical_formula_sum 'Li1 V4 O5 F7'
_space_group_name_H-M_alt 'P 1'
_space_group_IT_number 1
_cell_length_a 5.2658
_cell_length_b 5.4542
_cell_length_c 7.2554
_cell_angle_alpha 93.77
_cell_angle_beta 90.43
_cell_angle_gamma 90.65
loop_
_space_group_symop_operation_xyz
'x,y,z'
loop_
_atom_site_label
_atom_site_type_symbol
_atom_site_fract_x
_atom_site_fract_y
_atom_site_fract_z
Li1 Li 0.0000 0.0000 0.0000
V1 V 0.0225 0.4168 0.3157
V2 V 0.0319 0.4507 0.8200
V3 V 0.5024 0.9128 0.7746
V4 V 0.5297 0.9134 0.2783
O1 O 0.0906 0.4111 0.5472
O2 O 0.2048 0.7348 0.8469
O3 O 0.4458 0.9228 0.5442
O4 O 0.6153 0.9193 0.0514
O5 O 0.9432 0.4007 0.0537
F1 F 0.2023 0.0904 0.2407
F2 F 0.3195 0.2185 0.8533
F3 F 0.3343 0.6049 0.2542
F4 F 0.7024 0.2278 0.3449
F5 F 0.7106 0.6148 0.7595
F6 F 0.8289 0.1102 0.7679
F7 F 0.8342 0.7309 0.3451
```

---

7.
For MgV4CoNiO12, a crystal structure in the Materials Project, relaxed with PBE+U gives the computed powder X-ray diffraction pattern in this record (Cu Kα (weighted mean of Kα1 and Kα2)).
Peak positions follow from Bragg's law for the DFT cell and can differ from measured ones.

Most intense lines, 10 to 80 degrees two-theta, low angle first:
hkl, d [Å], intensity
0 0 1, 6.574, 38
1 2 0, 3.172, 100
0 2 1, 3.055, 49
2 0 0, 2.659, 44
1 0 -2, 2.529, 24
1 4 1, 1.714, 21

Atomic structure:
```
data_MgV4CoNiO12
_chemical_formula_sum 'Mg1 V4 Co1 Ni1 O12'
_space_group_name_H-M_alt 'P 1'
_space_group_IT_number 1
_cell_length_a 5.7252
_cell_length_b 6.8794
_cell_length_c 6.8854
_cell_angle_alpha 80.54
_cell_angle_beta 73.62
_cell_angle_gamma 73.59
loop_
_space_group_symop_operation_xyz
'x,y,z'
loop_
_atom_site_label
_atom_site_type_symbol
_atom_site_fract_x
_atom_site_fract_y
_atom_site_fract_z
Mg1 Mg 0.0000 0.0000 0.0000
V1 V 0.0011 0.4610 0.1125
V2 V 0.0051 0.8860 0.5381
V3 V 0.4936 0.6644 0.9140
V4 V 0.5121 0.0849 0.3349
Co1 Co 0.0030 0.3572 0.6417
Ni1 Ni 0.5029 0.1974 0.8015
O1 O 0.0344 0.6394 0.6277
O2 O 0.1052 0.2721 0.9271
O3 O 0.1656 0.6834 0.0397
O4 O 0.3174 0.9210 0.3701
O5 O 0.4039 0.2490 0.5231
O6 O 0.4642 0.9088 0.7983
O7 O 0.5446 0.1993 0.0895
O8 O 0.6025 0.4758 0.7503
O9 O 0.6878 0.6287 0.0785
O10 O 0.8396 0.9580 0.3167
O11 O 0.9007 0.0722 0.7261
O12 O 0.9737 0.3717 0.3588
```

---

8.
For VP2C4N3Cl2F12, a crystal structure in the Materials Project, relaxed with PBE+U gives the computed powder X-ray diffraction pattern in this record (Cu Kα (weighted mean of Kα1 and Kα2)).
Peak positions follow from Bragg's law for the DFT cell and can differ from measured ones.

Most intense lines, 10 to 80 degrees two-theta, low angle first:
hkl, d [Å], intensity
1 1 -1, 7.077, 53
0 0 2, 6.613, 70
0 2 0, 4.273, 44
3 1 -2, 4.195, 79
0 2 1, 4.066, 33
3 1 0, 3.939, 100

Atomic structure:
```
data_VP2C4N3Cl2F12
_chemical_formula_sum 'V4 P8 C16 N12 Cl8 F48'
_space_group_name_H-M_alt 'C 1 2/c 1'
_space_group_IT_number 15
_cell_length_a 14.8908
_cell_length_b 8.5464
_cell_length_c 14.7875
_cell_angle_alpha 90.00
_cell_angle_beta 116.59
_cell_angle_gamma 90.00
loop_
_space_group_symop_operation_xyz
'x,y,z'
'-x,-y,-z'
'-x,y,-z+1/2'
'x,-y,z+1/2'
'x+1/2,y+1/2,z'
'-x+1/2,-y+1/2,-z'
'-x+1/2,y+1/2,-z+1/2'
'x+1/2,-y+1/2,z+1/2'
loop_
_atom_site_label
_atom_site_type_symbol
_atom_site_fract_x
_atom_site_fract_y
_atom_site_fract_z
V1 V 0.0000 0.0599 0.2500
P1 P 0.1000 0.3752 0.2691
C1 C 0.1389 0.4372 0.1679
C2 C 0.2056 0.4531 0.3910
N1 N 0.0000 0.4674 0.2500
N2 N 0.1006 0.1873 0.2736
Cl1 Cl 0.0307 0.0829 0.8823
F1 F 0.0740 0.3720 0.0787
F2 F 0.1357 0.4054 0.6567
F3 F 0.1829 0.4219 0.4685
F4 F 0.2060 0.1163 0.5895
F5 F 0.2161 0.3901 0.8861
F6 F 0.2330 0.3873 0.1908
```